Record 1
This entry pairs a crystal structure of CaAlCu6Si with its calculated PXRD pattern. Radiation: a wavelength of 1.5418 Å. Structure: DFT lattice parameters and positions (GGA-PBE).
Kinematic intensities with the Lorentz-polarization factor, no thermal factor.

Principal peaks in the range 15° ≤ 2θ ≤ 90°, by angle:
22.64°, d 3.928, rel. 33; 35.30°, d 2.542, rel. 43; 35.56°, d 2.525, rel. 57; 40.24°, d 2.241, rel. 50; 41.31°, d 2.186, rel. 100; 42.01°, d 2.151, rel. 40; 44.04°, d 2.056, rel. 28; 46.22°, d 1.964, rel. 59; 49.17°, d 1.853, rel. 34; 49.96°, d 1.825, rel. 34

```
CaAlCu6Si
1.0
-2.729 3.651 6.990
2.729 -3.651 6.990
2.729 3.651 -6.990
Ca Al Cu Si
2 2 12 2
Direct
0.266 0.016 0.250 Ca
0.734 0.984 0.750 Ca
0.000 0.500 0.500 Al
0.500 0.500 0.000 Al
0.004 0.754 0.250 Cu
0.121 0.403 0.215 Cu
0.121 0.906 0.718 Cu
0.312 0.094 0.715 Cu
0.312 0.597 0.218 Cu
0.363 0.613 0.750 Cu
0.637 0.387 0.250 Cu
0.688 0.403 0.782 Cu
0.688 0.906 0.285 Cu
0.879 0.094 0.282 Cu
0.879 0.597 0.785 Cu
0.996 0.246 0.750 Cu
0.500 0.000 0.000 Si
0.500 0.500 0.500 Si
```

=====

Record 2
This entry pairs a crystal structure of Ti12Ga2Sn5 with its calculated PXRD pattern. Radiation: a wavelength of 1.5418 Å. Structure: DFT lattice parameters and positions (GGA-PBE).
Kinematic intensities with the Lorentz-polarization factor, no thermal factor.

Principal peaks in the range 15° ≤ 2θ ≤ 90°, by angle:
22.92°, d 3.880, rel. 37; 32.85°, d 2.726, rel. 35; 33.98°, d 2.638, rel. 53; 34.84°, d 2.575, rel. 100; 35.08°, d 2.558, rel. 57; 36.20°, d 2.482, rel. 40; 39.37°, d 2.289, rel. 45; 40.09°, d 2.249, rel. 55; 42.09°, d 2.147, rel. 52; 46.98°, d 1.934, rel. 31

```
Ti12Ga2Sn5
1.0
7.306 -3.880 0.000
7.306 3.880 0.000
-2.522 0.000 6.456
Ti Ga Sn
12 2 5
Direct
0.041 0.674 0.101 Ti
0.044 0.044 0.154 Ti
0.199 0.599 0.582 Ti
0.326 0.959 0.899 Ti
0.401 0.801 0.418 Ti
0.433 0.433 0.286 Ti
0.567 0.567 0.714 Ti
0.599 0.199 0.582 Ti
0.674 0.041 0.101 Ti
0.801 0.401 0.418 Ti
0.956 0.956 0.846 Ti
0.959 0.326 0.899 Ti
0.327 0.673 0.000 Ga
0.673 0.327 0.000 Ga
0.000 0.000 0.500 Sn
0.242 0.242 0.299 Sn
0.297 0.297 0.817 Sn
0.703 0.703 0.183 Sn
0.758 0.758 0.701 Sn
```

=====

Record 3
This entry pairs a crystal structure of Pm3Ge2Pt7 with its calculated PXRD pattern. Radiation: a wavelength of 1.5418 Å. Structure: DFT lattice parameters and positions (GGA-PBE).
Kinematic intensities with the Lorentz-polarization factor, no thermal factor.

Principal peaks in the range 15° ≤ 2θ ≤ 90°, by angle:
31.49°, d 2.841, rel. 35; 33.43°, d 2.681, rel. 36; 36.21°, d 2.480, rel. 36; 36.46°, d 2.465, rel. 100; 40.37°, d 2.234, rel. 27; 41.73°, d 2.164, rel. 19; 44.15°, d 2.051, rel. 69; 64.21°, d 1.451, rel. 23; 68.38°, d 1.372, rel. 21; 76.15°, d 1.250, rel. 24

```
Pm3Ge2Pt7
1.0
-2.051 2.051 14.013
2.051 -2.051 14.013
2.051 2.051 -14.013
Pm Ge Pt
3 2 7
Direct
0.000 0.000 0.000 Pm
0.176 0.176 0.000 Pm
0.824 0.824 0.000 Pm
0.371 0.371 0.000 Ge
0.629 0.629 0.000 Ge
0.079 0.579 0.500 Pt
0.282 0.282 0.000 Pt
0.421 0.921 0.500 Pt
0.500 0.500 0.000 Pt
0.579 0.079 0.500 Pt
0.718 0.718 0.000 Pt
0.921 0.421 0.500 Pt
```